Record 1
# AcEuNi4
Theoretical powder X-ray diffraction pattern, Cu Kα, 1.54184 Å. Input: a cell relaxed with GGA-PBE.
Peak positions follow from Bragg's law for the DFT cell and can differ from measured ones.

Main lines, by angle (15° ≤ 2θ ≤ 90°):
2θ 20.73, intensity 21; 2θ 34.17, intensity 69; 2θ 40.30, intensity 100; 2θ 42.18, intensity 13; 2θ 61.17, intensity 26; 2θ 65.33, intensity 32; 2θ 71.97, intensity 22; 2θ 82.13, intensity 12

Atomic structure:
```
AcEuNi4
1.0
0.000 3.711 3.711
3.711 0.000 3.711
3.711 3.711 0.000
Ac Eu Ni
1 1 4
direct
0.000 0.000 0.000
0.750 0.750 0.750
0.376 0.376 0.376
0.376 0.376 0.872
0.376 0.872 0.376
0.872 0.376 0.376
```

---

Record 2
# TmBe3Au10
Theoretical powder X-ray diffraction pattern, Cu Kα, 1.54184 Å. Input: a cell relaxed with GGA-PBE.
Peak positions follow from Bragg's law for the DFT cell and can differ from measured ones.

Main lines, by angle (15° ≤ 2θ ≤ 90°):
2θ 32.32, intensity 42; 2θ 35.50, intensity 21; 2θ 37.74, intensity 100; 2θ 41.23, intensity 15; 2θ 43.21, intensity 47; 2θ 61.76, intensity 15; 2θ 63.75, intensity 27; 2θ 75.15, intensity 16

Atomic structure:
```
TmBe3Au10
1.0
0.000 6.193 6.193
6.193 0.000 6.193
6.193 6.193 0.000
Tm Be Au
2 6 20
direct
0.250 0.250 0.250
0.750 0.750 0.750
0.235 0.235 0.765
0.235 0.765 0.235
0.235 0.765 0.765
0.765 0.235 0.235
0.765 0.235 0.765
0.765 0.765 0.235
0.115 0.115 0.115
0.115 0.115 0.655
0.115 0.655 0.115
0.161 0.500 0.500
0.161 0.500 0.839
0.161 0.839 0.500
0.345 0.885 0.885
0.500 0.161 0.500
0.500 0.161 0.839
0.500 0.500 0.161
0.500 0.500 0.839
0.500 0.839 0.161
0.500 0.839 0.500
0.655 0.115 0.115
0.839 0.161 0.500
0.839 0.500 0.161
0.839 0.500 0.500
0.885 0.345 0.885
0.885 0.885 0.345
0.885 0.885 0.885
```

---

Record 3
# Pa3Cu7Si4
Theoretical powder X-ray diffraction pattern, Cu Kα, 1.54184 Å. Input: a cell relaxed with GGA-PBE.
Peak positions follow from Bragg's law for the DFT cell and can differ from measured ones.

Main lines, by angle (15° ≤ 2θ ≤ 90°):
2θ 20.92, intensity 37; 2θ 23.75, intensity 98; 2θ 30.20, intensity 49; 2θ 36.91, intensity 73; 2θ 37.17, intensity 100; 2θ 37.40, intensity 43; 2θ 38.42, intensity 54; 2θ 43.35, intensity 55

Atomic structure:
```
Pa3Cu7Si4
1.0
7.558 -2.087 0.000
7.558 2.087 0.000
-4.705 0.000 7.069
Pa Cu Si
3 7 4
direct
0.000 0.000 0.000
0.296 0.296 0.292
0.704 0.704 0.708
0.000 0.000 0.500
0.144 0.144 0.868
0.337 0.337 0.688
0.498 0.498 0.312
0.502 0.502 0.688
0.663 0.663 0.312
0.856 0.856 0.132
0.133 0.133 0.420
0.349 0.349 0.980
0.651 0.651 0.020
0.867 0.867 0.580
```